The following is a theoretical XRD peak list of LaSm3Se7. It was derived from a GGA-PBE-relaxed structure, using a wavelength of 1.5418 Å.
Neutral-atom scattering factors, no anomalous dispersion.

Structure:
Cell lengths 10.6269, 4.3423, 13.8668 Å; angles 90.00, 90.00, 90.00 degrees
Space group Amm2 (No. 38)
Asymmetric unit:
La 0.0000 0.0000 0.0000 [2 per cell]
Sm 0.2422 0.0000 0.7264 [4 per cell]
Sm 0.5000 0.0000 0.0120 [2 per cell]
Se 0.0000 0.0000 0.3475 [2 per cell]
Se 0.0000 0.0000 0.6411 [2 per cell]
Se 0.2506 0.0000 0.0897 [4 per cell]
Se 0.3841 0.0000 0.3694 [4 per cell]
Se 0.5000 0.0000 0.6540 [2 per cell]

The 6 most intense peaks (10° ≤ 2θ ≤ 80°), by angle:
| 2theta | I/Imax |
| --- | --- |
| 21.1 | 48 |
| 28.2 | 100 |
| 32.9 | 53 |
| 41.6 | 26 |
| 42.2 | 38 |
| 44.5 | 25 |

***

The following is a theoretical XRD peak list of Li4ZnIr2Pb. It was derived from a GGA-PBE-relaxed structure, using a wavelength of 1.5418 Å.
Neutral-atom scattering factors, no anomalous dispersion.

Structure:
Cell lengths 4.3646, 4.3646, 6.2134 Å; angles 90.00, 90.00, 90.00 degrees
Space group P-4m2 (No. 115)
Asymmetric unit:
Li 0.0000 0.0000 0.0000 [1 per cell]
Li 0.0000 0.5000 0.7240 [2 per cell]
Li 0.5000 0.5000 0.5000 [1 per cell]
Zn 0.0000 0.0000 0.5000 [1 per cell]
Ir 0.0000 0.5000 0.2692 [2 per cell]
Pb 0.5000 0.5000 0.0000 [1 per cell]

The 6 most intense peaks (10° ≤ 2θ ≤ 80°), by angle:
| 2theta | I/Imax |
| --- | --- |
| 24.9 | 100 |
| 41.2 | 58 |
| 41.4 | 30 |
| 48.7 | 16 |
| 48.9 | 33 |
| 75.4 | 20 |

***

The following is a theoretical XRD peak list of BaSnIr2. It was derived from a GGA-PBE-relaxed structure, using a wavelength of 1.5418 Å.
Neutral-atom scattering factors, no anomalous dispersion.

Structure:
Cell lengths 6.1321, 4.6730, 7.6043 Å; angles 90.00, 92.26, 90.00 degrees
Space group P2_1/m (No. 11)
Asymmetric unit:
Ba 0.1136 0.2500 0.2653 [2 per cell]
Sn 0.3808 0.2500 0.7229 [2 per cell]
Ir 0.3930 0.7500 0.5755 [2 per cell]
Ir 0.4499 0.7500 0.9486 [2 per cell]

The 6 most intense peaks (10° ≤ 2θ ≤ 80°), by angle:
| 2theta | I/Imax |
| --- | --- |
| 14.5 | 100 |
| 31.0 | 37 |
| 34.2 | 25 |
| 38.5 | 44 |
| 42.7 | 37 |
| 43.7 | 23 |

***

The following is a theoretical XRD peak list of BaReO3. It was derived from a GGA-PBE-relaxed structure, using a wavelength of 1.5418 Å.
Neutral-atom scattering factors, no anomalous dispersion.

Structure:
Cell lengths 4.0225, 4.0225, 4.0399 Å; angles 90.00, 90.00, 90.00 degrees
Space group P4/mmm (No. 123)
Asymmetric unit:
Ba 0.0000 0.0000 0.0000 [1 per cell]
Re 0.5000 0.5000 0.5000 [1 per cell]
O 0.0000 0.5000 0.5000 [2 per cell]
O 0.5000 0.5000 0.0000 [1 per cell]

The 6 most intense peaks (10° ≤ 2θ ≤ 80°), by angle:
| 2theta | I/Imax |
| --- | --- |
| 31.4 | 100 |
| 45.1 | 18 |
| 55.8 | 13 |
| 56.0 | 27 |
| 65.5 | 11 |
| 74.6 | 12 |

***

The following is a theoretical XRD peak list of Ni12Te. It was derived from a GGA-PBE-relaxed structure, using a wavelength of 1.5418 Å.
Neutral-atom scattering factors, no anomalous dispersion.

Structure:
Cell lengths 4.2808, 6.5104, 24.5073 Å; angles 89.87, 89.87, 89.71 degrees
Space group P-1 (No. 2)
Asymmetric unit:
Ni 0.0794 0.1081 0.1509 [2 per cell]
Ni 0.0822 0.5340 0.8660 [2 per cell]
Ni 0.0832 0.2503 0.0545 [2 per cell]
Ni 0.0839 0.3928 0.9604 [2 per cell]
Ni 0.2471 0.8937 0.0703 [2 per cell]
Ni 0.2506 0.0357 0.9765 [2 per cell]
Ni 0.2515 0.1815 0.8812 [2 per cell]
Ni 0.2507 0.7465 0.1634 [2 per cell]
Ni 0.4156 0.8212 0.8991 [2 per cell]
Ni 0.4168 0.5361 0.0858 [2 per cell]
Ni 0.4166 0.6784 0.9923 [2 per cell]
Ni 0.4186 0.3972 0.1770 [2 per cell]
Te 0.4138 0.9663 0.7942 [2 per cell]

The 6 most intense peaks (10° ≤ 2θ ≤ 80°), by angle:
| 2theta | I/Imax |
| --- | --- |
| 10.8 | 79 |
| 42.5 | 57 |
| 43.5 | 55 |
| 44.2 | 53 |
| 44.6 | 53 |
| 45.9 | 100 |

***

The following is a theoretical XRD peak list of Sc2ZnCd3Au2. It was derived from a GGA-PBE-relaxed structure, using a wavelength of 1.5418 Å.
Neutral-atom scattering factors, no anomalous dispersion.

Structure:
Cell lengths 4.7754, 4.7754, 6.7455 Å; angles 90.00, 90.00, 90.00 degrees
Space group P-4m2 (No. 115)
Asymmetric unit:
Sc 0.0000 0.5000 0.2398 [2 per cell]
Zn 0.0000 0.0000 0.0000 [1 per cell]
Cd 0.0000 0.5000 0.7563 [2 per cell]
Cd 0.5000 0.5000 0.5000 [1 per cell]
Au 0.0000 0.0000 0.5000 [1 per cell]
Au 0.5000 0.5000 0.0000 [1 per cell]

The 6 most intense peaks (10° ≤ 2θ ≤ 80°), by angle:
| 2theta | I/Imax |
| --- | --- |
| 22.8 | 18 |
| 26.4 | 10 |
| 37.7 | 100 |
| 44.5 | 10 |
| 54.4 | 17 |
| 68.0 | 34 |